# Li3NdZn8
Simulated X-ray diffraction stick pattern, Cu Kα, 1.54184 Å. Input: DFT lattice parameters and positions (GGA-PBE).
Lines closer than 0.1° are merged.

Cell and atoms:
Lattice parameters (Å, degrees): 5.2426 5.2426 26.3467 90.00 90.00 120.00
Space group R3m (No. 160, hexagonal axes)
Inequivalent atoms, fractional coordinates:
1 Li 0.0000 0.0000 0.0000 [3 per cell]
2 Li 0.0000 0.0000 0.1167 [3 per cell]
3 Li 0.0000 0.0000 0.6297 [3 per cell]
4 Nd 0.0000 0.0000 0.5014 [3 per cell]
5 Zn 0.0000 0.0000 0.3142 [3 per cell]
6 Zn 0.0000 0.0000 0.8118 [3 per cell]
7 Zn 0.0020 0.5010 0.5671 [9 per cell]
8 Zn 0.1681 0.3363 0.3941 [9 per cell]

Main lines, in order of rising 2θ (15 to 90 degrees two-theta):
| hkl | 2theta | I_rel |
| --- | --- | --- |
| 1 0 1 | 19.84 | 35 |
| 0 1 2 | 20.69 | 65 |
| 1 0 10 | 39.55 | 53 |
| 1 1 6 | 40.06 | 100 |
| 2 0 2 | 40.31 | 50 |
| 0 2 4 | 42.10 | 90 |